Theoretical powder X-ray diffraction pattern
Compound: CsCdInAs2
Radiation: Cu Kα (weighted mean of Kα1 and Kα2)
Structure: a cell relaxed with GGA-PBE
Neutral-atom scattering factors, no anomalous dispersion.

a b c (Å): 14.5201 4.5228 10.5712
angles (deg): 90.00 98.94 90.00
Space group C2/m (No. 12)
Asymmetric unit:
Cs: 0.1558 0.0000 0.1646
Cd: 0.1775 0.0000 0.5730
In: 0.0495 0.5000 0.6824
As: 0.1188 0.0000 0.8083
As: 0.1281 0.5000 0.4378

Main lines, in order of rising 2θ (2θ = 10–90°):
| 2θ (°) | Rel. int. | index |
| --- | --- | --- |
| 24.8 | 40 | 4 0 0 |
| 27.1 | 100 | 3 1 0 |
| 27.5 | 41 | 1 1 2 |
| 32.3 | 89 | 1 1 -3 |
| 33.0 | 46 | 4 0 -3 |
| 39.9 | 53 | 0 2 0 |
| 43.2 | 56 | 5 1 2 |
| 49.4 | 39 | 1 1 5 |